Record 1
Diffraction record for CaNiAsHO5. The powder XRD pattern is theoretical, not measured: it uses a cell relaxed with GGA+U and Cu Kα.

Main lines, most intense first (2θ = 10–90°):
2θ (°)	intensity
27.99	100
33.66	85
32.07	85
56.81	51
34.46	51
35.48	50
21.35	36
38.35	34

Structure:
```
CaNiAsHO5
1.0
5.9995 0.0000 0.0000
0.0000 7.5268 0.0000
0.0000 0.0000 9.0151
Ca Ni As H O
4 4 4 4 20
Direct
0.0252 0.1276 0.1733
0.4748 0.8724 0.6733
0.5252 0.3724 0.8267
0.9748 0.6276 0.3267
0.2433 0.2575 0.5036
0.2567 0.7425 0.0036
0.7433 0.2425 0.4964
0.7567 0.7575 0.9964
0.0167 0.6207 0.6795
0.4833 0.3793 0.1795
0.5167 0.8793 0.3205
0.9833 0.1207 0.8205
0.0118 0.9897 0.4815
0.4882 0.0103 0.9815
0.5118 0.5103 0.5185
0.9882 0.4897 0.0185
0.0014 0.1036 0.4270
0.0100 0.9393 0.9400
0.0869 0.7889 0.5593
0.2324 0.1481 0.7265
0.2468 0.6084 0.7950
0.2532 0.3916 0.2950
0.2676 0.8519 0.2265
0.4131 0.2111 0.0593
0.4900 0.0607 0.4400
0.4986 0.8964 0.9270
0.5014 0.3964 0.5730
0.5100 0.5607 0.0600
0.5869 0.7111 0.4407
0.7324 0.3519 0.2735
0.7468 0.8916 0.2050
0.7532 0.1084 0.7050
0.7676 0.6481 0.7735
0.9131 0.2889 0.9407
0.9900 0.4393 0.5600
0.9986 0.6036 0.0730
```

Record 2
Diffraction record for Fe4O3F5. The powder XRD pattern is theoretical, not measured: it uses a cell relaxed with GGA+U and Cu Kα.

Main lines, most intense first (2θ = 10–90°):
2θ (°)	intensity
34.41	100
26.10	93
26.56	92
51.65	29
65.85	27
51.55	27
52.17	26
52.09	25

Structure:
```
Fe4O3F5
1.0
4.7805 0.0000 0.0000
-0.0822 7.8388 0.0000
-0.0850 -1.9962 7.6006
Fe O F
8 6 10
Direct
0.0000 0.0000 0.0000
0.0038 0.4993 0.4992
0.4515 0.6283 0.8782
0.4857 0.8605 0.6095
0.5207 0.1407 0.3910
0.5525 0.3718 0.1239
0.9464 0.2315 0.7510
0.9787 0.7299 0.2116
0.1842 0.7741 0.0238
0.3100 0.6522 0.6479
0.6760 0.5927 0.0830
0.6786 0.0809 0.5913
0.6942 0.3460 0.3497
0.7950 0.2155 0.9656
0.1870 0.2565 0.5318
0.1938 0.5262 0.2564
0.1963 0.0214 0.7593
0.2833 0.8958 0.3918
0.2855 0.3887 0.8904
0.3052 0.1559 0.1607
0.6898 0.8410 0.8369
0.7775 0.9664 0.2285
0.7880 0.4599 0.7285
0.7951 0.7293 0.4534
```

Record 3
Diffraction record for Mg7Mn5O12. The powder XRD pattern is theoretical, not measured: it uses a cell relaxed with GGA+U and Cu Kα.

Main lines, most intense first (2θ = 10–90°):
2θ (°)	intensity
41.29	100
59.93	29
35.60	28
59.72	27
75.38	13
71.63	12
35.45	8
11.65	8

Structure:
```
Mg7Mn5O12
1.0
3.0872 0.0000 0.0000
-1.5436 2.6736 0.0000
0.0000 0.0000 30.3880
Mg Mn O
7 5 12
Direct
0.0000 0.0000 0.0000
0.0000 0.0000 0.2443
0.0000 0.0000 0.4984
0.0000 0.0000 0.7505
0.3333 0.6667 0.1632
0.3333 0.6667 0.9185
0.6667 0.3333 0.0817
0.3333 0.6667 0.4158
0.3333 0.6667 0.6674
0.6667 0.3333 0.3283
0.6667 0.3333 0.5807
0.6667 0.3333 0.8341
0.0000 0.0000 0.1225
0.0000 0.0000 0.3722
0.0000 0.0000 0.6240
0.0000 0.0000 0.8788
0.3333 0.6667 0.0408
0.3333 0.6667 0.2838
0.3333 0.6667 0.5370
0.3333 0.6667 0.7896
0.6667 0.3333 0.2038
0.6667 0.3333 0.4598
0.6667 0.3333 0.7114
0.6667 0.3333 0.9592
```

Record 4
Diffraction record for Li4Mn5O10. The powder XRD pattern is theoretical, not measured: it uses a cell relaxed with GGA+U and Cu Kα.

Main lines, most intense first (2θ = 10–90°):
2θ (°)	intensity
17.10	100
37.61	21
39.55	19
38.28	17
34.36	12
48.26	11
48.96	10
65.58	9

Structure:
```
Li4Mn5O10
1.0
5.1938 0.0000 0.0000
0.3169 5.2266 0.0000
0.0987 2.4854 7.5904
Li Mn O
4 5 10
Direct
0.0000 0.0000 0.0000
0.0016 0.7670 0.4080
0.0090 0.1650 0.6193
0.8619 0.5645 0.0056
0.4169 0.2818 0.0096
0.4271 0.6956 0.2032
0.4428 0.8899 0.8099
0.4463 0.0992 0.4075
0.4529 0.4922 0.6134
0.2162 0.0202 0.1935
0.2185 0.6685 0.9981
0.2289 0.2017 0.8219
0.2358 0.4192 0.4392
0.2479 0.8499 0.6021
0.6087 0.3544 0.1983
0.6199 0.5444 0.8183
0.6341 0.7741 0.3896
0.6439 0.1428 0.6335
0.6568 0.9185 0.9913
```

Record 5
Diffraction record for CsFeCoF6. The powder XRD pattern is theoretical, not measured: it uses a cell relaxed with GGA+U and Cu Kα.

Main lines, most intense first (2θ = 10–90°):
2θ (°)	intensity
27.91	100
28.19	61
48.78	48
23.83	44
28.06	30
44.29	18
54.99	18
29.50	17

Structure:
```
CsFeCoF6
1.0
-3.6948 3.7677 5.2852
3.6948 -3.7677 5.2852
3.6948 3.7677 -5.2852
Cs Fe Co F
2 2 2 12
Direct
0.3729 0.1229 0.2500
0.6271 0.8771 0.7500
0.0000 0.5000 0.5000
0.5000 0.5000 0.0000
0.0000 0.0000 0.5000
0.0000 0.5000 0.0000
0.0711 0.4308 0.2601
0.0711 0.8110 0.6403
0.0723 0.8223 0.2500
0.3168 0.5668 0.7500
0.3293 0.1890 0.7601
0.3293 0.5692 0.1403
0.6707 0.4308 0.8597
0.6707 0.8110 0.2399
0.6832 0.4332 0.2500
0.9277 0.1777 0.7500
0.9289 0.1890 0.3597
0.9289 0.5692 0.7399
```

Record 6
Diffraction record for Li2Mn3SbO8. The powder XRD pattern is theoretical, not measured: it uses a cell relaxed with GGA+U and Cu Kα.

Main lines, most intense first (2θ = 10–90°):
2θ (°)	intensity
18.03	100
17.81	51
42.66	46
40.39	28
60.76	22
35.18	22
34.37	20
34.82	17

Structure:
```
Li2Mn3SbO8
1.0
6.1033 0.0000 0.0000
0.0000 5.8935 0.0000
-5.8727 0.0000 8.9336
Li Mn Sb O
4 6 2 16
Direct
0.1021 0.0036 0.3652
0.1021 0.4964 0.8652
0.8979 0.5036 0.1348
0.8979 0.9964 0.6348
0.4960 0.7459 0.2475
0.4960 0.7541 0.7475
0.5000 0.0000 0.0000
0.5000 0.5000 0.5000
0.5040 0.2459 0.2525
0.5040 0.2541 0.7525
0.0000 0.0000 0.0000
0.0000 0.5000 0.5000
0.2260 0.7425 0.5023
0.2260 0.7575 0.0023
0.2548 0.0002 0.2309
0.2547 0.2178 0.9976
0.2547 0.2822 0.4976
0.2548 0.4998 0.7309
0.3136 0.0049 0.7728
0.3136 0.4951 0.2728
0.6864 0.5049 0.7272
0.6864 0.9951 0.2272
0.7452 0.9998 0.7691
0.7452 0.5002 0.2691
0.7453 0.7178 0.5024
0.7453 0.7822 0.0024
0.7740 0.2424 0.9977
0.7740 0.2576 0.4977
```

Record 7
Diffraction record for Na2FeO2. The powder XRD pattern is theoretical, not measured: it uses a cell relaxed with GGA+U and Cu Kα.

Main lines, most intense first (2θ = 10–90°):
2θ (°)	intensity
37.64	100
22.30	80
41.42	41
53.18	39
22.64	37
30.42	31
13.96	22
11.10	21

Structure:
```
Na2FeO2
1.0
15.9445 0.0000 0.0000
0.0000 6.9126 0.0000
0.0000 0.0000 5.9586
Na Fe O
16 8 16
Direct
0.0000 0.0851 0.2500
0.0000 0.3551 0.7500
0.0000 0.6449 0.2500
0.0000 0.9149 0.7500
0.1619 0.1238 0.5910
0.1619 0.8762 0.0910
0.3381 0.3762 0.0910
0.3381 0.6238 0.5910
0.5000 0.1449 0.2500
0.5000 0.4149 0.7500
0.5000 0.5851 0.2500
0.5000 0.8551 0.7500
0.6619 0.3762 0.4090
0.6619 0.6238 0.9090
0.8381 0.1238 0.9090
0.8381 0.8762 0.4090
0.1292 0.3713 0.0785
0.1292 0.6287 0.5785
0.3708 0.1287 0.5785
0.3708 0.8713 0.0785
0.6292 0.1287 0.9215
0.6292 0.8713 0.4215
0.8708 0.3713 0.4215
0.8708 0.6287 0.9215
0.0959 0.1403 0.9350
0.0959 0.8597 0.4350
0.1193 0.3959 0.3999
0.1193 0.6041 0.8999
0.3807 0.1041 0.8999
0.3807 0.8959 0.3999
0.4041 0.3597 0.4350
0.4041 0.6403 0.9350
0.5959 0.3597 0.0650
0.5959 0.6403 0.5650
0.6193 0.1041 0.6001
0.6193 0.8959 0.1001
0.8807 0.3959 0.1001
0.8807 0.6041 0.6001
0.9041 0.1403 0.5650
0.9041 0.8597 0.0650
```